Structure and computed X-ray diffraction stick pattern of La2WO6 (a structure optimized by DFT (GGA+U); Cu Ka).
No peak broadening, texture or thermal motion is included.

Principal peaks in the range 10 to 90 degrees two-theta, in order of rising 2θ:
2θ/deg  I_rel
18.75  16
19.87  11
22.53  29
24.66  57
30.00  11
30.21  100
32.07  44
34.11  14
44.49  25
45.99  26
47.53  14
56.02  31

Structural model:
```
54
Lattice="16.7369 0.0000 0.0000 0.0000 8.9349 0.0000 0.0000 0.0000 5.5853" Properties=species:S:1:pos:R:3 pbc="T T T"
La 0.0000 0.3862 0.0000
La 0.0000 6.3139 2.2765
La 2.6710 0.0458 2.7910
La 3.0333 3.0734 0.1626
La 5.3351 5.8616 2.9553
La 5.6975 8.8892 5.5836
La 8.3684 2.6211 5.0691
La 8.3684 8.5487 2.7926
La 11.0394 8.8892 5.5836
La 11.4018 5.8616 2.9553
La 13.7036 3.0734 0.1626
La 14.0659 0.0458 2.7910
W 0.0000 2.2147 2.8819
W 2.8087 6.5504 5.4721
W 5.5597 2.3845 2.6794
W 8.3684 6.7203 0.0892
W 11.1772 2.3845 2.6794
W 13.9281 6.5504 5.4721
O 0.0000 0.1020 2.9677
O 0.0000 4.0314 2.9780
O 1.3534 1.9135 1.4938
O 1.4135 1.9101 4.2171
O 1.6025 7.8455 0.8872
O 1.6553 6.8873 3.9705
O 1.8281 5.2037 0.7776
O 3.8440 5.1099 4.7330
O 4.0485 7.1064 1.2890
O 4.0779 7.7310 4.2934
O 4.2906 1.2039 1.5008
O 4.3199 1.8285 4.0816
O 4.5245 3.8250 1.9404
O 6.5404 3.7313 3.5703
O 6.7132 2.0477 1.1778
O 6.7660 1.0895 3.6798
O 6.9550 7.0248 1.4245
O 7.0151 7.0215 4.2864
O 8.3684 4.9036 0.1854
O 8.3684 8.8329 0.1751
O 9.7218 7.0215 4.2864
O 9.7819 7.0248 1.4245
O 9.9709 1.0895 3.6798
O 10.0237 2.0477 1.1778
O 10.1965 3.7313 3.5703
O 12.2124 3.8250 1.9404
O 12.4170 1.8285 4.0816
O 12.4463 1.2039 1.5008
O 12.6590 7.7310 4.2934
O 12.6884 7.1064 1.2890
O 12.8929 5.1099 4.7330
O 14.9088 5.2037 0.7776
O 15.0816 6.8873 3.9705
O 15.1344 7.8455 0.8872
O 15.3234 1.9101 4.2171
O 15.3835 1.9135 1.4938
```